Simulated X-ray diffraction stick pattern
Compound: NaEuRe4O20
Radiation: Cu Kα (weighted mean of Kα1 and Kα2)
Structure: a GGA-PBE-relaxed structure

Structural model:
a b c (Å): 12.6483 12.6483 5.8627
angles (deg): 90.00 90.00 90.00
Sites, in units of the cell vectors:
Na  0.0000  0.0000  0.0000
Na  0.5000  0.5000  0.5000
Eu  0.0000  0.5000  0.7500
Eu  0.5000  0.0000  0.2500
Re  0.0907  0.2152  0.4804
Re  0.2152  0.9093  0.5196
Re  0.2848  0.4093  0.0196
Re  0.4093  0.7152  0.9804
Re  0.5907  0.2848  0.9804
Re  0.7152  0.5907  0.0196
Re  0.7848  0.0907  0.5196
Re  0.9093  0.7848  0.4804
O  0.0252  0.1355  0.6775
O  0.0485  0.1842  0.2052
O  0.0639  0.3523  0.5380
O  0.0636  0.6444  0.9655
O  0.1355  0.9748  0.3225
O  0.1444  0.5636  0.5345
O  0.1477  0.4361  0.9620
O  0.1842  0.9515  0.7948
O  0.1905  0.7743  0.4997
O  0.2257  0.1905  0.5003
O  0.2743  0.6905  0.0003
O  0.3095  0.2743  0.9997
O  0.3158  0.4515  0.2948
O  0.3523  0.9361  0.4620
O  0.3556  0.0636  0.0345
O  0.3645  0.4748  0.8225
O  0.4364  0.1444  0.4655
O  0.4361  0.8523  0.0380
O  0.4515  0.6842  0.7052
O  0.4748  0.6355  0.1775
O  0.5252  0.3645  0.1775
O  0.5485  0.3158  0.7052
O  0.5639  0.1477  0.0380
O  0.5636  0.8556  0.4655
O  0.6355  0.5252  0.8225
O  0.6444  0.9364  0.0345
O  0.6477  0.0639  0.4620
O  0.6842  0.5485  0.2948
O  0.6905  0.7257  0.9997
O  0.7257  0.3095  0.0003
O  0.7743  0.8095  0.5003
O  0.8095  0.2257  0.4997
O  0.8158  0.0485  0.7948
O  0.8523  0.5639  0.9620
O  0.8556  0.4364  0.5345
O  0.8645  0.0252  0.3225
O  0.9364  0.3556  0.9655
O  0.9361  0.6477  0.5380
O  0.9515  0.8158  0.2052
O  0.9748  0.8645  0.6775

Top 10 peaks for 2θ from 5° to 70°, low angle first:
hkl, d [Å], I (rel.)
2 1 0, 5.656, 37
1 0 1, 5.319, 97
2 1 1, 4.071, 70
3 1 0, 4.000, 30
3 2 0, 3.508, 40
3 0 1, 3.423, 26
3 1 1, 3.304, 100
4 1 0, 3.068, 36
5 2 1, 2.180, 18
6 2 1, 1.893, 24